[1]
# RbNaGaH6
Calculated powder X-ray diffraction pattern, Cu Ka. Input: a cell relaxed with GGA-PBE.
Lines closer than 0.1° are merged.

Largest 10 diffraction maxima, sorted by position, 10° ≤ 2θ ≤ 90°:
index, d_spacing, I_rel
1 0 0, 4.724, 15.6
1 0 1, 3.579, 100.0
0 0 2, 2.741, 12.7
1 1 0, 2.727, 39.1
2 0 1, 2.169, 24.2
2 -1 2, 1.933, 29.3
1 0 3, 1.704, 11.1
3 -1 1, 1.698, 22.3
3 0 2, 1.365, 13.2
2 1 3, 1.277, 8.6

```
data_RbNaGaH6
_chemical_formula_sum 'Rb1 Na1 Ga1 H6'
_space_group_name_H-M_alt 'P 3 1 2'
_space_group_IT_number 149
_space_group_name_Hall 'P 3 2'
_cell_length_a 5.4549
_cell_length_b 5.4549
_cell_length_c 5.4818
_cell_angle_alpha 90.00
_cell_angle_beta 90.00
_cell_angle_gamma 120.00
loop_
_atom_site_label
_atom_site_type_symbol
_atom_site_fract_x
_atom_site_fract_y
_atom_site_fract_z
Rb1 Rb 0.0000 0.0000 0.0000
Na1 Na 0.3333 0.6667 0.5000
Ga1 Ga 0.6667 0.3333 0.5000
H1 H 0.4225 0.0679 0.6879
```



[2]
# Na2GaTcH6
Calculated powder X-ray diffraction pattern, Cu Ka. Input: a cell relaxed with GGA-PBE.
Lines closer than 0.1° are merged.

Largest 10 diffraction maxima, sorted by position, 10° ≤ 2θ ≤ 90°:
index, d_spacing, I_rel
0 2 0, 3.642, 43.0
2 0 0, 2.575, 100.0
2 2 0, 2.102, 10.6
0 0 2, 1.824, 6.3
0 4 0, 1.819, 12.4
0 4 1, 1.627, 10.9
2 2 1, 1.488, 11.6
2 4 0, 1.486, 23.1
4 0 0, 1.288, 7.2
0 6 1, 1.151, 9.5

```
data_Na2GaTcH6
_chemical_formula_sum 'Na4 Ga2 Tc2 H12'
_space_group_name_H-M_alt 'C 1 2/m 1'
_space_group_IT_number 12
_space_group_name_Hall '-C 2y'
_cell_length_a 7.2746
_cell_length_b 7.2772
_cell_length_c 5.1509
_cell_angle_alpha 90.00
_cell_angle_beta 134.90
_cell_angle_gamma 90.00
loop_
_atom_site_label
_atom_site_type_symbol
_atom_site_fract_x
_atom_site_fract_y
_atom_site_fract_z
Na1 Na 0.0000 0.2501 0.0000
Ga1 Ga 0.0000 0.0000 0.5000
Tc1 Tc 0.0000 0.5000 0.5000
H1 H 0.0000 0.2523 0.5000
H2 H 0.2465 0.5000 0.4971
H3 H 0.2458 0.5000 0.9944
```



[3]
# Nb5Ga4H
Calculated powder X-ray diffraction pattern, Cu Ka. Input: a cell relaxed with GGA-PBE.
Lines closer than 0.1° are merged.

Largest 10 diffraction maxima, sorted by position, 10° ≤ 2θ ≤ 90°:
index, d_spacing, I_rel
2 0 0, 4.182, 1.7
3 0 1, 2.374, 100.0
0 0 2, 2.262, 22.2
3 3 0, 1.971, 28.2
3 3 2, 1.486, 22.0
6 0 0, 1.394, 8.5
3 0 3, 1.326, 15.1
6 3 1, 1.202, 20.2
6 0 2, 1.187, 9.9
0 0 4, 1.131, 2.3

```
data_Nb5Ga4H
_chemical_formula_sum 'Nb10 Ga8 H2'
_space_group_name_H-M_alt 'I 4 m m'
_space_group_IT_number 107
_space_group_name_Hall 'I 4 -2'
_cell_length_a 8.3642
_cell_length_b 8.3642
_cell_length_c 4.5240
_cell_angle_alpha 90.00
_cell_angle_beta 90.00
_cell_angle_gamma 90.00
loop_
_atom_site_label
_atom_site_type_symbol
_atom_site_fract_x
_atom_site_fract_y
_atom_site_fract_z
Nb1 Nb 0.0000 0.0000 0.9998
Nb2 Nb 0.1751 0.1751 0.5000
Ga1 Ga 0.0000 0.3268 0.0003
H1 H 0.0000 0.0000 0.5056
```



[4]
# Nd3GaH
Calculated powder X-ray diffraction pattern, Cu Ka. Input: a cell relaxed with GGA-PBE.
Lines closer than 0.1° are merged.

Largest 10 diffraction maxima, sorted by position, 10° ≤ 2θ ≤ 90°:
index, d_spacing, I_rel
0 1 3, 3.238, 18.4
1 1 -3, 3.013, 39.7
2 0 -2, 2.985, 27.2
2 1 -1, 2.926, 71.5
0 0 4, 2.801, 100.0
2 0 2, 2.738, 53.5
1 2 -2, 2.642, 19.9
1 2 2, 2.550, 33.7
1 2 -3, 2.354, 20.5
3 1 -1, 2.095, 20.2

```
data_Nd3GaH
_chemical_formula_sum 'Nd12 Ga4 H4'
_space_group_name_H-M_alt 'P 1 21/c 1'
_space_group_IT_number 14
_space_group_name_Hall '-P 2ybc'
_cell_length_a 6.6666
_cell_length_b 6.5293
_cell_length_c 11.2403
_cell_angle_alpha 90.00
_cell_angle_beta 95.64
_cell_angle_gamma 90.00
loop_
_atom_site_label
_atom_site_type_symbol
_atom_site_fract_x
_atom_site_fract_y
_atom_site_fract_z
Nd1 Nd 0.0793 0.0498 0.1568
Nd2 Nd 0.2155 0.5354 0.0871
Nd3 Nd 0.3967 0.1617 0.8770
Ga1 Ga 0.3558 0.6905 0.8492
H1 H 0.0822 0.2315 0.9701
```



[5]
# NdGa3H12
Calculated powder X-ray diffraction pattern, Cu Ka. Input: a cell relaxed with GGA-PBE.
Lines closer than 0.1° are merged.

Largest 10 diffraction maxima, sorted by position, 10° ≤ 2θ ≤ 90°:
index, d_spacing, I_rel
1 0 0, 7.662, 41.0
1 0 1, 4.645, 20.0
1 1 1, 3.526, 52.7
2 0 1, 3.203, 100.0
0 0 2, 2.920, 31.5
2 1 0, 2.896, 19.9
2 1 1, 2.594, 40.3
3 0 0, 2.554, 25.4
3 0 2, 1.922, 23.4
2 3 1, 1.683, 29.8

```
data_NdGa3H12
_chemical_formula_sum 'Nd2 Ga6 H24'
_space_group_name_H-M_alt 'P 63/m'
_space_group_IT_number 176
_space_group_name_Hall '-P 6c'
_cell_length_a 8.8473
_cell_length_b 8.8473
_cell_length_c 5.8398
_cell_angle_alpha 90.00
_cell_angle_beta 90.00
_cell_angle_gamma 120.00
loop_
_atom_site_label
_atom_site_type_symbol
_atom_site_fract_x
_atom_site_fract_y
_atom_site_fract_z
Nd1 Nd 0.3333 0.6667 0.2500
Ga1 Ga 0.0887 0.3717 0.7500
H1 H 0.0044 0.1707 0.7500
H2 H 0.0401 0.5467 0.2500
H3 H 0.2143 0.4632 0.5318
```



[6]
# Nd2GaNi12H3
Calculated powder X-ray diffraction pattern, Cu Ka. Input: a cell relaxed with GGA-PBE.
Lines closer than 0.1° are merged.

Largest 10 diffraction maxima, sorted by position, 10° ≤ 2θ ≤ 90°:
index, d_spacing, I_rel
1 1 3, 2.859, 15.6
0 2 1, 2.797, 19.8
0 2 4, 2.384, 41.8
1 0 7, 2.305, 18.2
2 0 5, 2.210, 100.0
1 2 2, 2.081, 49.7
0 0 9, 1.962, 18.7
0 3 3, 1.798, 19.7
2 2 0, 1.635, 24.3
0 2 10, 1.499, 17.4

```
data_Nd2GaNi12H3
_chemical_formula_sum 'Nd6 Ga3 Ni36 H9'
_space_group_name_H-M_alt 'R -3 m'
_space_group_IT_number 166
_space_group_name_Hall '-R 3 2"'
_cell_length_a 6.5418
_cell_length_b 6.5418
_cell_length_c 17.6617
_cell_angle_alpha 90.00
_cell_angle_beta 90.00
_cell_angle_gamma 120.00
loop_
_atom_site_label
_atom_site_type_symbol
_atom_site_fract_x
_atom_site_fract_y
_atom_site_fract_z
Nd1 Nd 0.0000 0.0000 0.1004
Ga1 Ga 0.0000 0.0000 0.5000
Ni1 Ni 0.0567 0.5284 0.8945
Ni2 Ni 0.0837 0.5419 0.3214
H1 H 0.0000 0.5000 0.0000
```



[7]
# NdGaHRh2
Calculated powder X-ray diffraction pattern, Cu Ka. Input: a cell relaxed with GGA-PBE.
Lines closer than 0.1° are merged.

Largest 10 diffraction maxima, sorted by position, 10° ≤ 2θ ≤ 90°:
index, d_spacing, I_rel
1 3 0, 2.672, 58.0
0 4 1, 2.602, 42.9
1 1 2, 2.577, 100.0
1 3 1, 2.509, 62.3
0 2 3, 2.231, 27.9
0 4 2, 2.214, 26.8
1 1 3, 2.023, 22.6
2 0 0, 1.924, 32.0
2 4 1, 1.547, 17.3
1 5 3, 1.511, 21.6

```
data_NdGaHRh2
_chemical_formula_sum 'Nd4 Ga4 H4 Rh8'
_space_group_name_H-M_alt 'C m c m'
_space_group_IT_number 63
_space_group_name_Hall '-C 2c 2'
_cell_length_a 3.8477
_cell_length_b 11.1409
_cell_length_c 7.3025
_cell_angle_alpha 90.00
_cell_angle_beta 90.00
_cell_angle_gamma 90.00
loop_
_atom_site_label
_atom_site_type_symbol
_atom_site_fract_x
_atom_site_fract_y
_atom_site_fract_z
Nd1 Nd 0.0000 0.0520 0.2500
Ga1 Ga 0.0000 0.2258 0.7500
H1 H 0.0000 0.5000 0.0000
Rh1 Rh 0.0000 0.3461 0.0503
```



[8]
# Nd2GaHRh6
Calculated powder X-ray diffraction pattern, Cu Ka. Input: a cell relaxed with GGA-PBE.
Lines closer than 0.1° are merged.

Largest 10 diffraction maxima, sorted by position, 10° ≤ 2θ ≤ 90°:
index, d_spacing, I_rel
2 2 -1, 3.082, 11.5
2 2 0, 2.523, 74.0
2 2 -2, 2.509, 73.8
0 4 0, 2.179, 100.0
4 0 0, 1.547, 9.9
0 4 2, 1.541, 40.2
4 0 -4, 1.534, 10.1
2 6 0, 1.316, 15.1
4 4 0, 1.262, 9.0
4 4 -4, 1.254, 9.3

```
data_Nd2GaHRh6
_chemical_formula_sum 'Nd4 Ga2 H2 Rh12'
_space_group_name_H-M_alt 'C 1 2/m 1'
_space_group_IT_number 12
_space_group_name_Hall '-C 2y'
_cell_length_a 8.7067
_cell_length_b 8.7179
_cell_length_c 6.1354
_cell_angle_alpha 90.00
_cell_angle_beta 134.70
_cell_angle_gamma 90.00
loop_
_atom_site_label
_atom_site_type_symbol
_atom_site_fract_x
_atom_site_fract_y
_atom_site_fract_z
Nd1 Nd 0.0000 0.2481 0.0000
Ga1 Ga 0.0000 0.0000 0.5000
H1 H 0.0000 0.5000 0.5000
Rh1 Rh 0.0000 0.2752 0.5000
Rh2 Rh 0.2229 0.5000 0.4965
Rh3 Rh 0.2230 0.5000 0.9497
```



[9]
# GaNi3H
Calculated powder X-ray diffraction pattern, Cu Ka. Input: a cell relaxed with GGA-PBE.
Lines closer than 0.1° are merged.

Largest 10 diffraction maxima, sorted by position, 10° ≤ 2θ ≤ 90°:
index, d_spacing, I_rel
1 0 3, 2.254, 1.6
2 0 2, 2.101, 100.0
0 0 4, 1.889, 17.1
2 2 0, 1.787, 30.4
1 2 3, 1.682, 0.9
1 0 5, 1.448, 0.7
2 2 4, 1.298, 18.1
4 0 0, 1.264, 8.8
1 2 5, 1.256, 1.1
2 0 6, 1.127, 10.3

```
data_GaNi3H
_chemical_formula_sum 'Ga4 Ni12 H4'
_space_group_name_H-M_alt 'I m m m'
_space_group_IT_number 71
_space_group_name_Hall '-I 2 2'
_cell_length_a 5.0544
_cell_length_b 5.0552
_cell_length_c 7.5554
_cell_angle_alpha 90.00
_cell_angle_beta 90.00
_cell_angle_gamma 90.00
loop_
_atom_site_label
_atom_site_type_symbol
_atom_site_fract_x
_atom_site_fract_y
_atom_site_fract_z
Ga1 Ga 0.0000 0.0000 0.2299
Ni1 Ni 0.0000 0.5000 0.2479
Ni2 Ni 0.2503 0.2438 0.5000
H1 H 0.0000 0.0000 0.5000
H2 H 0.0000 0.5000 0.5000
```



[10]
# NpGaNi4H6
Calculated powder X-ray diffraction pattern, Cu Ka. Input: a cell relaxed with GGA-PBE.
Lines closer than 0.1° are merged.

Largest 10 diffraction maxima, sorted by position, 10° ≤ 2θ ≤ 90°:
index, d_spacing, I_rel
1 0 0, 3.695, 26.4
1 0 1, 3.217, 57.3
1 0 2, 2.449, 100.0
0 0 3, 2.179, 12.0
1 1 0, 2.134, 68.1
2 0 2, 1.609, 27.1
1 1 3, 1.525, 23.8
1 0 4, 1.495, 14.1
2 1 2, 1.284, 25.6
3 0 0, 1.232, 16.5

```
data_NpGaNi4H6
_chemical_formula_sum 'Np1 Ga1 Ni4 H6'
_space_group_name_H-M_alt 'P 6/m m m'
_space_group_IT_number 191
_space_group_name_Hall '-P 6 2'
_cell_length_a 4.2671
_cell_length_b 4.2671
_cell_length_c 6.5383
_cell_angle_alpha 90.00
_cell_angle_beta 90.00
_cell_angle_gamma 120.00
loop_
_atom_site_label
_atom_site_type_symbol
_atom_site_fract_x
_atom_site_fract_y
_atom_site_fract_z
Np1 Np 0.0000 0.0000 0.0000
Ga1 Ga 0.0000 0.0000 0.5000
Ni1 Ni 0.3333 0.6667 0.3156
H1 H 0.0000 0.5000 0.1523
```



[11]
# PaGaNiH
Calculated powder X-ray diffraction pattern, Cu Ka. Input: a cell relaxed with GGA-PBE.
Lines closer than 0.1° are merged.

Largest 10 diffraction maxima, sorted by position, 10° ≤ 2θ ≤ 90°:
index, d_spacing, I_rel
1 0 0, 3.725, 36.0
1 0 1, 2.556, 100.0
1 1 0, 2.151, 47.0
0 0 2, 1.757, 8.4
2 0 1, 1.646, 26.8
1 0 2, 1.589, 7.1
1 1 2, 1.361, 21.4
2 1 1, 1.307, 24.9
3 0 0, 1.242, 7.9
1 0 3, 1.117, 7.9

```
data_PaGaNiH
_chemical_formula_sum 'Pa1 Ga1 Ni1 H1'
_space_group_name_H-M_alt 'P -6 m 2'
_space_group_IT_number 187
_space_group_name_Hall 'P -6 2'
_cell_length_a 4.3010
_cell_length_b 4.3010
_cell_length_c 3.5135
_cell_angle_alpha 90.00
_cell_angle_beta 90.00
_cell_angle_gamma 120.00
loop_
_atom_site_label
_atom_site_type_symbol
_atom_site_fract_x
_atom_site_fract_y
_atom_site_fract_z
Pa1 Pa 0.0000 0.0000 0.0000
Ga1 Ga 0.3333 0.6667 0.5000
Ni1 Ni 0.6667 0.3333 0.5000
H1 H 0.6667 0.3333 0.0000
```



[12]
# ScGaNi2H
Calculated powder X-ray diffraction pattern, Cu Ka. Input: a cell relaxed with GGA-PBE.
Lines closer than 0.1° are merged.

Largest 10 diffraction maxima, sorted by position, 10° ≤ 2θ ≤ 90°:
index, d_spacing, I_rel
0 2 0, 5.329, 57.6
1 3 0, 2.402, 96.2
1 1 2, 2.331, 81.0
1 3 1, 2.273, 81.3
0 2 3, 2.144, 40.2
0 4 2, 2.123, 100.0
1 1 3, 1.872, 86.0
1 5 1, 1.729, 19.9
2 0 0, 1.630, 34.1
2 4 2, 1.293, 36.3

```
data_ScGaNi2H
_chemical_formula_sum 'Sc4 Ga4 Ni8 H4'
_space_group_name_H-M_alt 'C m c m'
_space_group_IT_number 63
_space_group_name_Hall '-C 2c 2'
_cell_length_a 3.2592
_cell_length_b 10.6579
_cell_length_c 7.0254
_cell_angle_alpha 90.00
_cell_angle_beta 90.00
_cell_angle_gamma 90.00
loop_
_atom_site_label
_atom_site_type_symbol
_atom_site_fract_x
_atom_site_fract_y
_atom_site_fract_z
Sc1 Sc 0.0000 0.0267 0.2500
Ga1 Ga 0.0000 0.2489 0.7500
Ni1 Ni 0.0000 0.3534 0.0544
H1 H 0.0000 0.5000 0.0000
```



[13]
# Sc2GaNi6H
Calculated powder X-ray diffraction pattern, Cu Ka. Input: a cell relaxed with GGA-PBE.
Lines closer than 0.1° are merged.

Largest 10 diffraction maxima, sorted by position, 10° ≤ 2θ ≤ 90°:
index, d_spacing, I_rel
2 0 0, 3.910, 43.1
0 0 2, 2.829, 17.8
3 1 -2, 2.320, 53.4
2 2 0, 2.132, 91.8
1 1 2, 2.124, 47.2
4 0 0, 1.955, 100.0
0 0 3, 1.886, 20.1
4 0 -3, 1.848, 32.4
5 1 -4, 1.373, 21.8
0 4 0, 1.272, 32.5

```
data_Sc2GaNi6H
_chemical_formula_sum 'Sc4 Ga2 Ni12 H2'
_space_group_name_H-M_alt 'C 1 2/m 1'
_space_group_IT_number 12
_space_group_name_Hall '-C 2y'
_cell_length_a 8.8150
_cell_length_b 5.0835
_cell_length_c 6.3748
_cell_angle_alpha 90.00
_cell_angle_beta 117.43
_cell_angle_gamma 90.00
loop_
_atom_site_label
_atom_site_type_symbol
_atom_site_fract_x
_atom_site_fract_y
_atom_site_fract_z
Sc1 Sc 0.2199 0.0000 0.1614
Ga1 Ga 0.0000 0.5000 0.0000
Ni1 Ni 0.0248 0.2518 0.3253
Ni2 Ni 0.2266 0.0000 0.6720
H1 H 0.0000 0.0000 0.5000
```